1.
Theoretical powder XRD pattern
Compound: PrBiO4
Radiation: Cu Kα (weighted mean of Kα1 and Kα2)
Structure: a structure optimized by DFT (PBE)
Lines closer than 0.1° are merged.

Structure:
```
PrBiO4
1.0
5.676 0.000 0.000
0.000 10.954 0.000
0.000 0.000 5.761
Pr Bi O
4 4 16
direct
0.199 0.250 0.250 Pr
0.301 0.750 0.250 Pr
0.699 0.250 0.750 Pr
0.801 0.750 0.750 Pr
0.250 0.000 0.705 Bi
0.250 0.500 0.795 Bi
0.750 0.000 0.295 Bi
0.750 0.500 0.205 Bi
0.012 0.617 0.051 O
0.012 0.883 0.449 O
0.113 0.629 0.570 O
0.113 0.871 0.930 O
0.387 0.129 0.930 O
0.387 0.371 0.570 O
0.488 0.117 0.449 O
0.488 0.383 0.051 O
0.512 0.617 0.949 O
0.512 0.883 0.551 O
0.613 0.629 0.430 O
0.613 0.871 0.070 O
0.887 0.129 0.070 O
0.887 0.371 0.430 O
0.988 0.117 0.551 O
0.988 0.383 0.949 O
```

Main lines, most intense first (10° ≤ 2θ ≤ 90°):
two_theta  d/Å  I/Imax
27.42  3.253  100
45.70  1.985  17
55.20  1.664  15
46.06  1.971  14
31.52  2.838  13
44.83  2.022  12
31.05  2.881  12
32.70  2.738  11
53.66  1.708  11
53.05  1.726  11
56.59  1.626  9
74.00  1.281  5

---

2.
Theoretical powder XRD pattern
Compound: Pr2Bi4O9
Radiation: Cu Kα (weighted mean of Kα1 and Kα2)
Structure: a structure optimized by DFT (PBE)
Lines closer than 0.1° are merged.

Structure:
```
Pr2Bi4O9
1.0
6.215 0.000 0.000
-3.107 5.382 0.000
0.000 0.000 15.393
Pr Bi O
4 8 18
direct
0.000 0.000 0.138 Pr
0.000 0.000 0.362 Pr
0.000 0.000 0.638 Pr
0.000 0.000 0.862 Pr
0.333 0.667 0.193 Bi
0.333 0.667 0.478 Bi
0.333 0.667 0.693 Bi
0.333 0.667 0.978 Bi
0.667 0.333 0.022 Bi
0.667 0.333 0.307 Bi
0.667 0.333 0.522 Bi
0.667 0.333 0.807 Bi
0.000 0.283 0.250 O
0.000 0.717 0.750 O
0.078 0.387 0.578 O
0.078 0.691 0.078 O
0.283 0.000 0.250 O
0.283 0.283 0.750 O
0.309 0.387 0.078 O
0.309 0.922 0.578 O
0.387 0.078 0.922 O
0.387 0.309 0.422 O
0.613 0.691 0.578 O
0.613 0.922 0.078 O
0.691 0.078 0.422 O
0.691 0.613 0.922 O
0.717 0.000 0.750 O
0.717 0.717 0.250 O
0.922 0.309 0.922 O
0.922 0.613 0.422 O
```

Main lines, most intense first (10° ≤ 2θ ≤ 90°):
two_theta  d/Å  I/Imax
28.73  3.107  100
28.51  3.130  90
50.76  1.798  43
40.92  2.205  41
50.90  1.794  27
45.87  1.978  25
67.27  1.392  16
20.13  4.411  16
59.50  1.554  14
82.05  1.174  13
50.36  1.812  12
81.95  1.176  11